Record 1
Tl14InHg: calculated XRD peak list (Cu Ka), based on a structure optimized by DFT (PBE).

Cell: 11.439 7.139 11.873 Å, 90.00 90.00 90.00°
Space group Amm2 (No. 38)
Symmetry-distinct sites (fractional):
Tl  0.000  0.000  0.000 (multiplicity 2)
Tl  0.000  0.000  0.499 (multiplicity 2)
Tl  0.000  0.248  0.753 (multiplicity 4)
Tl  0.245  0.000  0.168 (multiplicity 4)
Tl  0.248  0.000  0.670 (multiplicity 4)
Tl  0.259  0.248  0.419 (multiplicity 8)
Tl  0.500  0.247  0.135 (multiplicity 4)
In  0.500  0.000  0.880 (multiplicity 2)
Hg  0.500  0.000  0.384 (multiplicity 2)

Principal peaks in the range 2θ = 10–90°, most intense first:
2θ 33.2, intensity 100, hkl 2 2 2; 2θ 31.3, intensity 39, hkl 4 0 0; 2θ 56.9, intensity 22, hkl 6 2 2; 2θ 31.1, intensity 19, hkl 1 0 4; 2θ 30.2, intensity 18, hkl 1 2 2; 2θ 61.2, intensity 18, hkl 4 4 0; 2θ 34.0, intensity 15, hkl 2 0 4; 2θ 30.1, intensity 13, hkl 0 0 4


Record 2
Tl6In3Hg: calculated XRD peak list (Cu Ka), based on a structure optimized by DFT (PBE).

Cell: 12.952 3.331 14.791 Å, 90.00 111.90 90.00°
Space group P2_1/m (No. 11)
Symmetry-distinct sites (fractional):
Tl  0.036  0.250  0.408 (multiplicity 2)
Tl  0.141  0.750  0.999 (multiplicity 2)
Tl  0.170  0.250  0.789 (multiplicity 2)
Tl  0.267  0.750  0.392 (multiplicity 2)
Tl  0.329  0.250  0.211 (multiplicity 2)
Tl  0.434  0.250  0.798 (multiplicity 2)
In  0.233  0.750  0.605 (multiplicity 2)
In  0.383  0.250  0.001 (multiplicity 2)
In  0.463  0.250  0.586 (multiplicity 2)
Hg  0.067  0.750  0.184 (multiplicity 2)

Principal peaks in the range 2θ = 10–90°, most intense first:
2θ 32.6, intensity 100, hkl 0 0 5; 2θ 31.4, intensity 91, hkl 4 0 -4; 2θ 32.8, intensity 78, hkl 4 0 1; 2θ 31.9, intensity 45, hkl 1 1 2; 2θ 32.4, intensity 41, hkl 1 1 -3; 2θ 34.0, intensity 40, hkl 3 1 -1; 2θ 65.6, intensity 31, hkl 0 2 5; 2θ 64.9, intensity 23, hkl 4 2 -4


Record 3
Tl7InHg3: calculated XRD peak list (Cu Ka), based on a structure optimized by DFT (PBE).

Cell: 6.184 6.972 8.213 Å, 75.64 71.88 88.57°
Space group P1 (No. 1)
Symmetry-distinct sites (fractional):
Tl  0.000  0.000  0.000 (multiplicity 1)
Tl  0.052  0.887  0.585 (multiplicity 1)
Tl  0.219  0.522  0.881 (multiplicity 1)
Tl  0.424  0.137  0.157 (multiplicity 1)
Tl  0.629  0.745  0.424 (multiplicity 1)
Tl  0.781  0.372  0.726 (multiplicity 1)
Tl  0.853  0.273  0.305 (multiplicity 1)
In  0.322  0.310  0.540 (multiplicity 1)
Hg  0.181  0.649  0.274 (multiplicity 1)
Hg  0.517  0.958  0.762 (multiplicity 1)
Hg  0.672  0.627  0.026 (multiplicity 1)

Principal peaks in the range 2θ = 10–90°, most intense first:
2θ 31.6, intensity 100, hkl 1 2 2; 2θ 34.0, intensity 82, hkl 2 1 0; 2θ 31.9, intensity 55, hkl -1 1 2; 2θ 32.5, intensity 39, hkl 2 -1 1; 2θ 42.4, intensity 19, hkl -1 3 1; 2θ 29.9, intensity 18, hkl 0 1 -2; 2θ 59.2, intensity 16, hkl 3 3 2; 2θ 48.5, intensity 13, hkl 1 1 -3


Record 4
Tl6InHg12: calculated XRD peak list (Cu Ka), based on a structure optimized by DFT (PBE).

Cell: 14.8361 14.8361 8.4257 Å, 90.00 90.00 120.00°
Space group R-3 (No. 148, hexagonal axes)
Symmetry-distinct sites (fractional):
Tl  0.0297  0.7573  0.3535 (multiplicity 18)
In  0.0000  0.0000  0.0000 (multiplicity 3)
Hg  0.0137  0.8779  0.6761 (multiplicity 18)
Hg  0.0738  0.5111  0.6600 (multiplicity 18)

Principal peaks in the range 2θ = 10–90°, most intense first:
2θ 32.2, intensity 100, hkl 5 -2 1; 2θ 37.2, intensity 67, hkl 2 3 2; 2θ 31.9, intensity 33, hkl 0 0 3; 2θ 64.0, intensity 27, hkl 7 1 3; 2θ 53.9, intensity 24, hkl 7 1 0; 2θ 53.5, intensity 22, hkl 5 -2 4; 2θ 64.1, intensity 14, hkl 4 6 1; 2θ 63.6, intensity 12, hkl 2 3 5


Record 5
Tl8In3Hg4: calculated XRD peak list (Cu Ka), based on a structure optimized by DFT (PBE).

Cell: 6.734 9.960 13.292 Å, 90.00 90.00 90.00°
Space group C222 (No. 21)
Symmetry-distinct sites (fractional):
Tl  0.000  0.000  0.228 (multiplicity 4)
Tl  0.000  0.500  0.250 (multiplicity 4)
Tl  0.250  0.250  0.376 (multiplicity 4)
Tl  0.250  0.250  0.886 (multiplicity 4)
In  0.000  0.000  0.500 (multiplicity 2)
In  0.000  0.500  0.000 (multiplicity 2)
In  0.000  0.500  0.500 (multiplicity 2)
Hg  0.250  0.250  0.122 (multiplicity 4)
Hg  0.250  0.250  0.625 (multiplicity 4)

Principal peaks in the range 2θ = 10–90°, most intense first:
2θ 32.1, intensity 100, hkl 2 2 0; 2θ 32.4, intensity 92, hkl 0 2 4; 2θ 38.0, intensity 61, hkl 2 0 4; 2θ 53.4, intensity 46, hkl 2 4 4; 2θ 36.1, intensity 37, hkl 0 4 0; 2θ 64.8, intensity 26, hkl 4 2 4; 2θ 65.4, intensity 22, hkl 2 2 8; 2θ 62.4, intensity 16, hkl 2 6 0


Record 6
TlIn3Hg6: calculated XRD peak list (Cu Ka), based on a structure optimized by DFT (PBE).

Cell: 8.660 17.788 3.815 Å, 90.00 90.00 90.00°
Space group Pnnm (No. 58)
Symmetry-distinct sites (fractional):
Tl  0.000  0.000  0.000 (multiplicity 2)
In  0.000  0.500  0.000 (multiplicity 2)
In  0.091  0.175  0.500 (multiplicity 4)
Hg  0.055  0.716  0.000 (multiplicity 4)
Hg  0.192  0.591  0.500 (multiplicity 4)
Hg  0.245  0.880  0.500 (multiplicity 4)

Principal peaks in the range 2θ = 10–90°, most intense first:
2θ 29.7, intensity 100, hkl 1 3 1; 2θ 28.8, intensity 97, hkl 2 4 0; 2θ 32.6, intensity 90, hkl 1 4 1; 2θ 39.5, intensity 60, hkl 3 1 1; 2θ 27.8, intensity 50, hkl 0 3 1; 2θ 39.1, intensity 33, hkl 3 0 1; 2θ 47.7, intensity 32, hkl 0 0 2; 2θ 56.7, intensity 30, hkl 2 4 2


Record 7
Tl3In4Hg2: calculated XRD peak list (Cu Ka), based on a structure optimized by DFT (PBE).

Cell: 5.590 6.310 8.164 Å, 73.17 83.29 68.33°
Space group P-1 (No. 2)
Symmetry-distinct sites (fractional):
Tl  0.000  0.000  0.000 (multiplicity 1)
Tl  0.433  0.086  0.684 (multiplicity 2)
In  0.085  0.753  0.637 (multiplicity 2)
In  0.308  0.375  0.987 (multiplicity 2)
Hg  0.273  0.538  0.329 (multiplicity 2)

Principal peaks in the range 2θ = 10–90°, most intense first:
2θ 31.0, intensity 100, hkl 1 -1 1; 2θ 32.9, intensity 100, hkl -1 1 2; 2θ 32.3, intensity 88, hkl 1 2 2; 2θ 32.5, intensity 86, hkl 2 1 0; 2θ 34.4, intensity 77, hkl 0 0 3; 2θ 35.4, intensity 70, hkl 1 2 -1; 2θ 44.3, intensity 34, hkl 2 1 3; 2θ 46.5, intensity 29, hkl 0 3 1


Record 8
TlIn5Hg6: calculated XRD peak list (Cu Ka), based on a structure optimized by DFT (PBE).

Cell: 5.918 6.840 9.303 Å, 83.22 74.14 64.48°
Space group P-1 (No. 2)
Symmetry-distinct sites (fractional):
Tl  0.000  0.000  0.000 (multiplicity 1)
In  0.000  0.000  0.500 (multiplicity 1)
In  0.317  0.361  0.000 (multiplicity 2)
In  0.348  0.297  0.502 (multiplicity 2)
Hg  0.175  0.656  0.735 (multiplicity 2)
Hg  0.176  0.654  0.264 (multiplicity 2)
Hg  0.475  0.001  0.233 (multiplicity 2)

Principal peaks in the range 2θ = 10–90°, most intense first:
2θ 30.8, intensity 100, hkl 1 2 2; 2θ 36.1, intensity 68, hkl -1 1 2; 2θ 31.4, intensity 50, hkl 2 1 0; 2θ 40.3, intensity 24, hkl 0 0 4; 2θ 44.0, intensity 18, hkl 0 3 0; 2θ 44.1, intensity 17, hkl 2 1 4; 2θ 61.2, intensity 13, hkl 0 3 4; 2θ 52.0, intensity 11, hkl 3 3 2


Record 9
Tl16In6Hg7: calculated XRD peak list (Cu Ka), based on a structure optimized by DFT (PBE).

Cell: 15.294 15.294 15.294 Å, 90.00 90.00 90.00°
Space group Fm-3m (No. 225)
Symmetry-distinct sites (fractional):
Tl  0.120  0.120  0.120 (multiplicity 32)
Tl  0.155  0.155  0.345 (multiplicity 32)
In  0.000  0.000  0.332 (multiplicity 24)
Hg  0.000  0.000  0.000 (multiplicity 4)
Hg  0.000  0.250  0.250 (multiplicity 24)

Principal peaks in the range 2θ = 10–90°, most intense first:
2θ 33.1, intensity 100, hkl 4 4 0; 2θ 30.4, intensity 37, hkl 3 3 3; 2θ 39.1, intensity 22, hkl 6 2 2; 2θ 34.7, intensity 21, hkl 5 3 1; 2θ 59.2, intensity 18, hkl 8 4 4; 2θ 60.2, intensity 18, hkl 9 3 3; 2θ 47.6, intensity 14, hkl 8 0 0; 2θ 35.2, intensity 14, hkl 6 0 0


Record 10
Tl2In5Hg12: calculated XRD peak list (Cu Ka), based on a structure optimized by DFT (PBE).

Cell: 16.200 8.589 7.740 Å, 90.00 97.60 90.00°
Space group C2/m (No. 12)
Symmetry-distinct sites (fractional):
Tl  0.000  0.238  0.000 (multiplicity 4)
In  0.000  0.000  0.500 (multiplicity 2)
In  0.154  0.500  0.095 (multiplicity 4)
In  0.232  0.000  0.514 (multiplicity 4)
Hg  0.055  0.500  0.703 (multiplicity 4)
Hg  0.105  0.273  0.403 (multiplicity 8)
Hg  0.126  0.000  0.862 (multiplicity 4)
Hg  0.230  0.302  0.803 (multiplicity 8)

Principal peaks in the range 2θ = 10–90°, most intense first:
2θ 31.6, intensity 100, hkl 4 2 -1; 2θ 34.3, intensity 44, hkl 2 2 2; 2θ 35.4, intensity 29, hkl 2 0 -3; 2θ 33.3, intensity 24, hkl 5 1 1; 2θ 27.1, intensity 23, hkl 2 0 2; 2θ 42.1, intensity 20, hkl 0 4 0; 2θ 37.0, intensity 15, hkl 6 0 1; 2θ 36.4, intensity 15, hkl 1 1 -3


Record 11
Tl4InHg12: calculated XRD peak list (Cu Ka), based on a structure optimized by DFT (PBE).

Cell: 9.898 9.898 9.898 Å, 90.00 90.00 90.00°
Space group Im-3m (No. 229)
Symmetry-distinct sites (fractional):
Tl  0.250  0.250  0.250 (multiplicity 8)
In  0.000  0.000  0.000 (multiplicity 2)
Hg  0.000  0.000  0.299 (multiplicity 12)
Hg  0.000  0.250  0.500 (multiplicity 12)

Principal peaks in the range 2θ = 10–90°, most intense first:
2θ 31.3, intensity 100, hkl 2 2 2; 2θ 36.3, intensity 58, hkl 4 0 0; 2θ 52.3, intensity 34, hkl 4 4 0; 2θ 62.2, intensity 31, hkl 6 2 2; 2θ 88.3, intensity 12, hkl 8 4 0; 2θ 42.9, intensity 11, hkl 3 3 2; 2θ 65.3, intensity 10, hkl 4 4 4; 2θ 38.6, intensity 9, hkl 3 3 0


Record 12
Tl4In2Hg5: calculated XRD peak list (Cu Ka), based on a structure optimized by DFT (PBE).

Cell: 8.188 3.429 11.282 Å, 90.00 96.28 90.00°
Space group P2/m (No. 10)
Symmetry-distinct sites (fractional):
Tl  0.153  0.000  0.401 (multiplicity 2)
Tl  0.298  0.000  0.944 (multiplicity 2)
In  0.058  0.500  0.138 (multiplicity 2)
Hg  0.205  0.500  0.672 (multiplicity 2)
Hg  0.429  0.500  0.213 (multiplicity 2)
Hg  0.500  0.500  0.500 (multiplicity 1)

Principal peaks in the range 2θ = 10–90°, most intense first:
2θ 32.6, intensity 100, hkl 1 0 -4; 2θ 33.1, intensity 99, hkl 3 0 -1; 2θ 34.3, intensity 86, hkl 2 0 3; 2θ 31.9, intensity 64, hkl 1 1 -2; 2θ 33.1, intensity 49, hkl 1 1 2; 2θ 30.6, intensity 46, hkl 0 1 2; 2θ 35.7, intensity 40, hkl 2 1 1; 2θ 64.0, intensity 34, hkl 1 2 -4